For Cs2RbBI6, a crystal structure in Alexandria, relaxed with GGA-PBE gives the computed XRD peak list in this record (copper Kα).
Kinematic intensities with the Lorentz-polarization factor, no thermal factor.

Cell and atoms:
a b c (Å): 8.700 8.700 8.700
angles (deg): 114.97 114.97 98.96
Atoms (fractional coordinates):
Cs  0.250  0.750  0.500
Cs  0.750  0.250  0.500
Rb  0.000  0.000  0.000
B  0.500  0.500  0.000
I  0.263  0.263  0.525
I  0.263  0.737  0.000
I  0.314  0.314  0.000
I  0.686  0.686  0.000
I  0.737  0.263  0.000
I  0.737  0.737  0.475

Main lines, sorted by position (2θ = 5–70°):
2theta	intensity
24.71	100
25.48	10
26.96	69
31.66	14
31.97	18
37.44	9
38.50	26
42.06	24
46.29	34
50.67	13
55.59	8
62.84	11

For Y7Te6, a crystal structure in Alexandria, relaxed with GGA-PBE gives the computed XRD peak list in this record (copper Kα).
Kinematic intensities with the Lorentz-polarization factor, no thermal factor.

Cell and atoms:
a b c (Å): 11.977 11.977 11.977
angles (deg): 32.27 32.27 32.27
Atoms (fractional coordinates):
Y  0.000  0.000  0.000
Y  0.071  0.071  0.572
Y  0.071  0.572  0.071
Y  0.428  0.929  0.929
Y  0.572  0.071  0.071
Y  0.929  0.428  0.929
Y  0.929  0.929  0.428
Te  0.167  0.167  0.167
Te  0.309  0.309  0.309
Te  0.428  0.428  0.428
Te  0.572  0.572  0.572
Te  0.691  0.691  0.691
Te  0.833  0.833  0.833

Main lines, sorted by position (2θ = 5–70°):
2theta	intensity
16.23	18
23.94	38
26.03	21
26.79	74
31.15	83
31.53	31
33.77	21
36.23	100
37.71	79
39.73	21
55.20	43
60.87	19

For CsPm5Te8, a crystal structure in Alexandria, relaxed with GGA-PBE gives the computed XRD peak list in this record (copper Kα).
Kinematic intensities with the Lorentz-polarization factor, no thermal factor.

Cell and atoms:
a b c (Å): 11.868 11.868 11.052
angles (deg): 103.55 103.55 22.01
Atoms (fractional coordinates):
Cs  0.000  0.000  0.000
Pm  0.156  0.156  0.459
Pm  0.204  0.204  0.843
Pm  0.500  0.500  0.499
Pm  0.796  0.796  0.156
Pm  0.845  0.845  0.539
Te  0.077  0.077  0.657
Te  0.270  0.270  0.350
Te  0.334  0.334  0.000
Te  0.419  0.419  0.692
Te  0.582  0.582  0.306
Te  0.666  0.666  0.998
Te  0.731  0.731  0.649
Te  0.923  0.923  0.341

Main lines, sorted by position (2θ = 5–70°):
2theta	intensity
8.24	22
25.37	100
26.63	41
30.03	31
31.86	39
32.10	18
36.17	36
39.80	28
40.12	51
43.26	15
47.83	16
66.66	16

For Mn3Fe2, a crystal structure in Alexandria, relaxed with GGA-PBE gives the computed XRD peak list in this record (copper Kα).
Kinematic intensities with the Lorentz-polarization factor, no thermal factor.

Cell and atoms:
a b c (Å): 2.438 3.855 11.341
angles (deg): 90.00 96.17 90.00
Atoms (fractional coordinates):
Mn  0.025  0.250  0.050
Mn  0.125  0.250  0.250
Mn  0.175  0.750  0.349
Mn  0.825  0.250  0.651
Mn  0.875  0.750  0.750
Mn  0.975  0.750  0.950
Fe  0.277  0.750  0.555
Fe  0.425  0.250  0.850
Fe  0.575  0.750  0.150
Fe  0.723  0.250  0.445

Main lines, sorted by position (2θ = 5–70°):
2theta	intensity
37.09	6
42.14	1
44.14	2
45.66	62
46.68	100
47.15	34
48.58	3
57.95	4
61.46	2
64.08	1
66.11	8
68.56	17

For BeCdTe2, a crystal structure in Alexandria, relaxed with GGA-PBE gives the computed XRD peak list in this record (copper Kα).
Kinematic intensities with the Lorentz-polarization factor, no thermal factor.

Cell and atoms:
a b c (Å): 7.400 8.693 7.106
angles (deg): 90.00 90.00 90.00
Atoms (fractional coordinates):
Be  0.073  0.126  0.000
Be  0.427  0.626  0.500
Be  0.573  0.374  0.000
Be  0.927  0.874  0.500
Cd  0.088  0.623  0.997
Cd  0.412  0.123  0.497
Cd  0.588  0.877  0.997
Cd  0.912  0.377  0.497
Te  0.058  0.101  0.653
Te  0.108  0.649  0.598
Te  0.392  0.149  0.098
Te  0.442  0.601  0.153
Te  0.558  0.399  0.653
Te  0.608  0.851  0.598
Te  0.892  0.351  0.098
Te  0.942  0.899  0.153

Main lines, sorted by position (2θ = 5–70°):
2theta	intensity
23.74	99
24.05	45
25.06	90
26.89	100
27.17	45
29.73	52
34.79	38
41.56	51
42.11	91
45.29	76
45.47	36
49.64	43

For K3Na11Hg4, a crystal structure in Alexandria, relaxed with GGA-PBE gives the computed XRD peak list in this record (copper Kα).
Kinematic intensities with the Lorentz-polarization factor, no thermal factor.

Cell and atoms:
a b c (Å): 7.137 7.137 15.421
angles (deg): 90.00 90.00 120.00
Atoms (fractional coordinates):
K  0.000  0.000  0.000
K  0.000  0.000  0.340
K  0.000  0.000  0.660
Na  0.000  0.500  0.189
Na  0.000  0.500  0.500
Na  0.000  0.500  0.811
Na  0.333  0.667  0.000
Na  0.500  0.000  0.189
Na  0.500  0.000  0.500
Na  0.500  0.000  0.811
Na  0.500  0.500  0.189
Na  0.500  0.500  0.500
Na  0.500  0.500  0.811
Na  0.667  0.333  0.000
Hg  0.333  0.667  0.343
Hg  0.333  0.667  0.657
Hg  0.667  0.333  0.343
Hg  0.667  0.333  0.657

Main lines, sorted by position (2θ = 5–70°):
2theta	intensity
5.73	100
14.33	36
15.45	18
17.25	33
24.95	61
25.62	21
30.50	96
33.85	18
34.24	20
43.39	25
47.55	28
51.20	15

For Pm5Tl2Ga, a crystal structure in Alexandria, relaxed with GGA-PBE gives the computed XRD peak list in this record (copper Kα).
Kinematic intensities with the Lorentz-polarization factor, no thermal factor.

Cell and atoms:
a b c (Å): 6.907 13.208 5.200
angles (deg): 90.00 90.00 90.00
Atoms (fractional coordinates):
Pm  0.000  0.000  0.000
Pm  0.132  0.281  0.000
Pm  0.166  0.592  0.500
Pm  0.334  0.092  0.500
Pm  0.368  0.781  0.000
Pm  0.500  0.500  0.000
Pm  0.632  0.219  0.000
Pm  0.666  0.908  0.500
Pm  0.834  0.408  0.500
Pm  0.868  0.719  0.000
Tl  0.119  0.845  0.500
Tl  0.381  0.345  0.500
Tl  0.619  0.655  0.500
Tl  0.881  0.155  0.500
Ga  0.000  0.500  0.000
Ga  0.500  0.000  0.000

Main lines, sorted by position (2θ = 5–70°):
2theta	intensity
29.56	42
29.99	28
31.84	100
32.11	72
32.96	27
33.99	15
34.50	52
46.35	17
48.46	19
55.84	12
60.14	16
60.31	29

For TlCu, a crystal structure in Alexandria, relaxed with GGA-PBE gives the computed XRD peak list in this record (copper Kα).
Kinematic intensities with the Lorentz-polarization factor, no thermal factor.

Cell and atoms:
a b c (Å): 7.841 7.424 5.244
angles (deg): 74.25 65.68 40.07
Atoms (fractional coordinates):
Tl  0.060  0.690  0.060
Tl  0.310  0.940  0.310
Tl  0.690  0.060  0.690
Tl  0.940  0.310  0.940
Cu  0.283  0.283  0.467
Cu  0.467  0.467  0.283
Cu  0.533  0.533  0.717
Cu  0.717  0.717  0.533

Main lines, sorted by position (2θ = 5–70°):
2theta	intensity
25.43	35
26.58	23
26.71	31
30.59	100
36.17	75
38.04	23
41.07	28
44.72	46
46.40	25
49.67	17
54.39	23
68.51	14

For Rb2MgF3, a crystal structure in Alexandria, relaxed with GGA-PBE gives the computed XRD peak list in this record (copper Kα).
Kinematic intensities with the Lorentz-polarization factor, no thermal factor.

Cell and atoms:
a b c (Å): 4.153 4.274 14.116
angles (deg): 90.00 90.00 90.00
Atoms (fractional coordinates):
Rb  0.000  0.000  0.150
Rb  0.000  0.000  0.850
Rb  0.500  0.500  0.350
Rb  0.500  0.500  0.650
Mg  0.000  0.000  0.500
Mg  0.500  0.500  0.000
F  0.000  0.000  0.357
F  0.000  0.000  0.643
F  0.000  0.500  0.000
F  0.500  0.000  0.500
F  0.500  0.500  0.143
F  0.500  0.500  0.857

Main lines, sorted by position (2θ = 5–70°):
2theta	intensity
22.31	22
25.24	28
28.21	74
28.67	42
30.00	100
38.25	25
39.59	55
42.29	26
43.59	24
49.36	29
51.88	20
52.73	25

For Ni2Bi5, a crystal structure in Alexandria, relaxed with GGA-PBE gives the computed XRD peak list in this record (copper Kα).
Kinematic intensities with the Lorentz-polarization factor, no thermal factor.

Cell and atoms:
a b c (Å): 8.467 8.467 6.682
angles (deg): 98.82 98.82 47.01
Atoms (fractional coordinates):
Ni  0.121  0.659  0.921
Ni  0.341  0.879  0.579
Ni  0.659  0.121  0.421
Ni  0.879  0.341  0.079
Bi  0.054  0.946  0.250
Bi  0.111  0.314  0.789
Bi  0.298  0.514  0.554
Bi  0.314  0.111  0.289
Bi  0.486  0.702  0.946
Bi  0.514  0.298  0.054
Bi  0.686  0.889  0.711
Bi  0.702  0.486  0.446
Bi  0.889  0.686  0.211
Bi  0.946  0.054  0.750

Main lines, sorted by position (2θ = 5–70°):
2theta	intensity
29.73	76
29.86	46
31.63	30
32.10	100
32.81	87
36.58	25
36.86	26
38.95	31
42.76	28
45.23	21
58.32	32
58.61	23

For V6Ge4Ir, a crystal structure in Alexandria, relaxed with GGA-PBE gives the computed XRD peak list in this record (copper Kα).
Kinematic intensities with the Lorentz-polarization factor, no thermal factor.

Cell and atoms:
a b c (Å): 6.753 6.753 6.753
angles (deg): 130.10 130.10 73.25
Atoms (fractional coordinates):
V  0.000  0.500  0.500
V  0.067  0.726  0.000
V  0.274  0.274  0.341
V  0.500  0.000  0.500
V  0.726  0.067  0.000
V  0.933  0.933  0.659
Ge  0.114  0.114  0.540
Ge  0.426  0.886  0.000
Ge  0.574  0.574  0.460
Ge  0.886  0.426  0.000
Ir  0.500  0.500  0.000

Main lines, sorted by position (2θ = 5–70°):
2theta	intensity
16.36	57
17.58	57
27.59	29
29.27	36
35.60	83
36.21	78
40.10	36
43.46	45
44.73	27
45.00	62
46.24	100
53.60	25

For Ta4Cr2Si5, a crystal structure in Alexandria, relaxed with GGA-PBE gives the computed XRD peak list in this record (copper Kα).
Kinematic intensities with the Lorentz-polarization factor, no thermal factor.

Cell and atoms:
a b c (Å): 9.358 9.358 9.358
angles (deg): 130.34 59.45 149.43
Atoms (fractional coordinates):
Ta  0.064  0.745  0.810
Ta  0.143  0.111  0.254
Ta  0.357  0.611  0.968
Ta  0.436  0.245  0.681
Ta  0.564  0.755  0.319
Ta  0.643  0.389  0.032
Ta  0.857  0.889  0.746
Ta  0.936  0.255  0.190
Cr  0.056  0.750  0.306
Cr  0.444  0.750  0.694
Cr  0.556  0.250  0.306
Cr  0.944  0.250  0.694
Si  0.070  0.418  0.488
Si  0.218  0.793  0.011
Si  0.250  0.250  0.000
Si  0.282  0.293  0.574
Si  0.430  0.918  0.348
Si  0.570  0.082  0.652
Si  0.718  0.707  0.426
Si  0.750  0.750  0.000
Si  0.782  0.207  0.989
Si  0.930  0.582  0.512

Main lines, sorted by position (2θ = 5–70°):
2theta	intensity
12.51	21
25.17	23
29.58	27
30.69	68
36.42	34
38.15	18
39.65	46
40.40	47
40.53	100
41.84	30
43.30	18
68.32	18